Diffraction record for Tm5ZrP6. The powder diffractogram is theoretical, not measured: it uses a DFT-relaxed cell (GGA-PBE, Alexandria) and Cu Kα (weighted mean of Kα1 and Kα2).
Kinematic intensities with the Lorentz-polarization factor, no thermal factor.

Principal peaks in the range 2θ = 10–90°, sorted by position:
- 2θ = 27.98°, intensity 86, hkl 2 0 0
- 2θ = 32.42°, intensity 100, hkl 1 3 1
- 2θ = 46.51°, intensity 72, hkl 2 0 2
- 2θ = 55.15°, intensity 28, hkl 3 3 1
- 2θ = 55.18°, intensity 14, hkl 2 6 0
- 2θ = 57.84°, intensity 25, hkl 4 0 0
- 2θ = 67.88°, intensity 12, hkl 2 6 2
- 2θ = 74.95°, intensity 14, hkl 4 0 2
- 2θ = 77.26°, intensity 32, hkl 3 3 3
- 2θ = 86.29°, intensity 25, hkl 1 3 5

Structure:
abc: 6.766 11.708 6.767
angles: 90.00 109.48 90.00
Space group C2/m (No. 12)
Asymmetric unit:
1 Tm 0.000 0.000 0.000 x2
2 Tm 0.000 0.166 0.500 x4
3 Tm 0.000 0.332 0.000 x4
4 Zr 0.000 0.500 0.500 x2
5 P 0.244 0.500 0.253 x4
6 P 0.245 0.337 0.745 x8



Diffraction record for UV5P3. The powder diffractogram is theoretical, not measured: it uses a DFT-relaxed cell (GGA-PBE, Alexandria) and Cu Kα (weighted mean of Kα1 and Kα2).
Kinematic intensities with the Lorentz-polarization factor, no thermal factor.

Principal peaks in the range 2θ = 10–90°, sorted by position:
- 2θ = 13.52°, intensity 26, hkl 1 0 -1
- 2θ = 16.10°, intensity 27, hkl 1 0 1
- 2θ = 28.18°, intensity 16, hkl 0 1 1
- 2θ = 29.38°, intensity 17, hkl 1 1 0
- 2θ = 32.58°, intensity 25, hkl 2 0 -3
- 2θ = 35.61°, intensity 27, hkl 0 0 4
- 2θ = 36.30°, intensity 17, hkl 2 1 0
- 2θ = 38.01°, intensity 35, hkl 0 1 3
- 2θ = 38.49°, intensity 100, hkl 2 1 -2
- 2θ = 48.47°, intensity 17, hkl 4 0 -1

Structure:
abc: 7.513 3.335 10.249
angles: 90.00 100.41 90.00
Space group P2_1/m (No. 11)
Asymmetric unit:
1 U 0.193 0.250 0.280 x2
2 V 0.075 0.250 0.594 x2
3 V 0.129 0.750 0.012 x2
4 V 0.316 0.750 0.769 x2
5 V 0.377 0.250 0.000 x2
6 V 0.470 0.250 0.591 x2
7 P 0.098 0.250 0.836 x2
8 P 0.251 0.750 0.509 x2
9 P 0.432 0.750 0.172 x2



Q: Which formula does entry 2 have?
A: UV5P3